For Ac4MgOs, a cell relaxed with GGA-PBE gives the calculated powder diffractogram in this record (Cu Ka).
No peak broadening, texture or thermal motion is included.

Peak list (6 most intense, 15 to 90 degrees two-theta, sorted by position)
| Position (°2θ) | d [Å] | I (rel.) |
| --- | --- | --- |
| 26.0 | 3.430 | 43 |
| 29.3 | 3.052 | 54 |
| 31.1 | 2.877 | 100 |
| 33.9 | 2.643 | 41 |
| 51.9 | 1.762 | 55 |
| 78.9 | 1.213 | 19 |

Structural model:
abc: 10.572 10.572 10.572
angles: 60.00 60.00 60.00
Fractional positions:
Ac 0.188 0.188 0.812
Ac 0.188 0.812 0.188
Ac 0.188 0.812 0.812
Ac 0.344 0.344 0.344
Ac 0.344 0.344 0.969
Ac 0.344 0.969 0.344
Ac 0.559 0.559 0.941
Ac 0.559 0.941 0.559
Ac 0.559 0.941 0.941
Ac 0.812 0.188 0.188
Ac 0.812 0.188 0.812
Ac 0.812 0.812 0.188
Ac 0.941 0.559 0.559
Ac 0.941 0.559 0.941
Ac 0.941 0.941 0.559
Ac 0.969 0.344 0.344
Mg 0.270 0.577 0.577
Mg 0.577 0.270 0.577
Mg 0.577 0.577 0.270
Mg 0.577 0.577 0.577
Os 0.138 0.138 0.138
Os 0.138 0.138 0.585
Os 0.138 0.585 0.138
Os 0.585 0.138 0.138

For AcMgPRh2, a cell relaxed with GGA-PBE gives the calculated powder diffractogram in this record (Cu Ka).
No peak broadening, texture or thermal motion is included.

Peak list (6 most intense, 15 to 90 degrees two-theta, sorted by position)
| Position (°2θ) | d [Å] | I (rel.) |
| --- | --- | --- |
| 15.0 | 5.887 | 25 |
| 30.8 | 2.902 | 36 |
| 31.1 | 2.874 | 20 |
| 34.7 | 2.583 | 100 |
| 41.9 | 2.155 | 21 |
| 45.1 | 2.010 | 22 |

Structural model:
abc: 6.559 6.559 6.559
angles: 145.80 141.65 52.32
Fractional positions:
Ac 0.000 0.000 0.000
Mg 0.259 0.759 0.500
P 0.625 0.625 0.000
Rh 0.421 0.421 0.000
Rh 0.742 0.242 0.500

For Ac2MgPb3, a cell relaxed with GGA-PBE gives the calculated powder diffractogram in this record (Cu Ka).
No peak broadening, texture or thermal motion is included.

Peak list (6 most intense, 15 to 90 degrees two-theta, sorted by position)
| Position (°2θ) | d [Å] | I (rel.) |
| --- | --- | --- |
| 28.1 | 3.178 | 45 |
| 28.5 | 3.128 | 100 |
| 34.4 | 2.608 | 54 |
| 35.5 | 2.527 | 27 |
| 45.9 | 1.978 | 26 |
| 54.4 | 1.687 | 34 |

Structural model:
abc: 4.426 5.054 9.134
angles: 90.00 90.00 90.00
Fractional positions:
Ac 0.000 0.000 0.000
Ac 0.000 0.500 0.477
Mg 0.500 0.500 0.817
Pb 0.500 0.000 0.331
Pb 0.500 0.000 0.674
Pb 0.500 0.500 0.133

For Ac4Mg5Pb6, a cell relaxed with GGA-PBE gives the calculated powder diffractogram in this record (Cu Ka).
No peak broadening, texture or thermal motion is included.

Peak list (6 most intense, 15 to 90 degrees two-theta, sorted by position)
| Position (°2θ) | d [Å] | I (rel.) |
| --- | --- | --- |
| 25.9 | 3.440 | 41 |
| 26.5 | 3.368 | 48 |
| 27.2 | 3.281 | 49 |
| 27.3 | 3.265 | 71 |
| 31.2 | 2.867 | 100 |
| 36.2 | 2.480 | 65 |

Structural model:
abc: 11.214 11.214 17.702
angles: 90.00 90.00 154.44
Fractional positions:
Ac 0.019 0.981 0.500
Ac 0.033 0.967 0.765
Ac 0.167 0.833 0.302
Ac 0.177 0.823 0.944
Ac 0.823 0.177 0.444
Ac 0.833 0.167 0.802
Ac 0.967 0.033 0.265
Ac 0.981 0.019 0.000
Mg 0.154 0.846 0.627
Mg 0.301 0.699 0.622
Mg 0.343 0.657 0.268
Mg 0.350 0.650 0.987
Mg 0.437 0.563 0.678
Mg 0.563 0.437 0.178
Mg 0.650 0.350 0.487
Mg 0.657 0.343 0.768
Mg 0.699 0.301 0.122
Mg 0.846 0.154 0.127
Pb 0.112 0.888 0.118
Pb 0.222 0.778 0.484
Pb 0.229 0.771 0.765
Pb 0.428 0.572 0.409
Pb 0.430 0.570 0.129
Pb 0.438 0.562 0.853
Pb 0.562 0.438 0.353
Pb 0.570 0.430 0.629
Pb 0.572 0.428 0.909
Pb 0.771 0.229 0.265
Pb 0.778 0.222 0.984
Pb 0.888 0.112 0.618